(1)
Calculated X-ray powder pattern
Compound: SrNdCuN2
Radiation: Cu Kα X-rays
Structure: a DFT-relaxed cell (PBE, Alexandria)
Peak positions follow from Bragg's law for the DFT cell and can differ from measured ones.

Most intense lines, 10 to 90 degrees two-theta, low angle first:
index	2theta	d (Å)	I/Imax
1 0 0	16.18	5.478	31.9
1 1 0	23.18	3.838	42.9
0 1 2	31.01	2.884	11.6
2 0 0	32.70	2.739	25.5
0 2 0	33.32	2.689	24.0
1 1 2	35.17	2.552	100.0
2 2 0	47.38	1.919	24.6
3 1 2	59.97	1.543	20.9
1 3 2	60.74	1.525	20.1
2 2 4	74.35	1.276	12.2

a b c (Å): 5.4775 5.3786 6.8329
angles (deg): 90.00 90.08 90.00
Space group P2/c (No. 13)
Inequivalent atoms, fractional coordinates:
Sr 0.0000 0.0008 0.2500
Nd 0.5000 0.5003 0.2500
Cu 0.5000 0.0000 0.0000
N 0.2791 0.2631 0.9999



(2)
Calculated X-ray powder pattern
Compound: Y6Tl2Ag
Radiation: Cu Kα X-rays
Structure: a DFT-relaxed cell (PBE, Alexandria)
Peak positions follow from Bragg's law for the DFT cell and can differ from measured ones.

Most intense lines, 10 to 90 degrees two-theta, low angle first:
index	2theta	d (Å)	I/Imax
0 2 1	21.97	4.046	21.2
2 0 -2	29.40	3.038	32.2
1 2 1	30.25	2.955	26.0
1 1 2	31.81	2.813	62.2
2 1 -3	33.09	2.707	48.9
1 3 -1	33.65	2.663	100.0
1 1 -4	33.68	2.661	44.4
0 2 3	34.10	2.629	56.6
2 1 0	35.09	2.557	26.3
0 0 4	36.74	2.446	21.1

a b c (Å): 6.0917 8.8887 11.1610
angles (deg): 90.00 118.75 90.00
Space group P2_1/c (No. 14)
Inequivalent atoms, fractional coordinates:
Y 0.0379 0.1720 0.4391
Y 0.3616 0.6755 0.4385
Y 0.3963 0.0276 0.2950
Tl 0.1718 0.1307 0.7498
Ag 0.0000 0.0000 0.0000



(3)
Calculated X-ray powder pattern
Compound: Sm5Dy2Y12
Radiation: Cu Kα X-rays
Structure: a DFT-relaxed cell (PBE, Alexandria)
Peak positions follow from Bragg's law for the DFT cell and can differ from measured ones.

Most intense lines, 10 to 90 degrees two-theta, low angle first:
index	2theta	d (Å)	I/Imax
-1 1 3	29.02	3.077	27.8
1 0 -3	29.12	3.066	36.8
0 3 1	30.77	2.905	63.5
1 -1 3	32.11	2.787	100.0
1 2 4	32.27	2.774	52.1
2 -1 0	32.47	2.757	50.8
1 1 -3	33.08	2.708	14.1
1 2 -2	33.43	2.680	16.6
3 1 4	49.43	1.844	18.1
1 -4 2	55.40	1.658	17.5

a b c (Å): 6.3110 8.9165 12.1404
angles (deg): 69.56 80.26 78.92
Space group P-1 (No. 2)
Inequivalent atoms, fractional coordinates:
Sm 0.0000 0.0000 0.0000
Sm 0.2166 0.3268 0.0099
Sm 0.3685 0.8371 0.5058
Dy 0.2531 0.5011 0.4341
Y 0.0847 0.1290 0.6609
Y 0.1629 0.2068 0.3268
Y 0.2391 0.4618 0.7106
Y 0.2678 0.6021 0.1424
Y 0.3114 0.7394 0.8321
Y 0.4598 0.9273 0.1721



(4)
Calculated X-ray powder pattern
Compound: Ba4PmO6
Radiation: Cu Kα X-rays
Structure: a DFT-relaxed cell (PBE, Alexandria)
Peak positions follow from Bragg's law for the DFT cell and can differ from measured ones.

Most intense lines, 10 to 90 degrees two-theta, low angle first:
index	2theta	d (Å)	I/Imax
1 1 0	16.42	5.397	11.8
1 1 3	26.13	3.411	58.0
3 0 0	28.64	3.117	100.0
0 2 4	33.23	2.696	20.2
2 1 4	37.28	2.412	28.2
2 2 3	39.15	2.301	31.1
1 3 4	44.43	2.039	16.6
1 4 3	49.22	1.851	17.7
3 3 0	50.76	1.799	45.3
6 0 0	59.29	1.558	15.5

a b c (Å): 10.7984 10.7984 13.1993
angles (deg): 90.00 90.00 120.00
Space group R-3c (No. 167, hexagonal axes)
Inequivalent atoms, fractional coordinates:
Ba 0.0000 0.0000 0.2500
Ba 0.0000 0.3562 0.2500
Pm 0.0000 0.0000 0.0000
O 0.0253 0.1875 0.3945



(5)
Calculated X-ray powder pattern
Compound: Ti7CdIn4
Radiation: Cu Kα X-rays
Structure: a DFT-relaxed cell (PBE, Alexandria)
Peak positions follow from Bragg's law for the DFT cell and can differ from measured ones.

Most intense lines, 10 to 90 degrees two-theta, low angle first:
index	2theta	d (Å)	I/Imax
1 1 1	23.98	3.711	80.3
3 1 -2	31.65	2.827	38.8
2 0 2	33.33	2.688	27.8
3 1 -3	34.49	2.600	31.0
0 2 0	34.97	2.566	100.0
4 0 -1	36.00	2.495	79.2
1 1 3	38.76	2.323	96.4
3 1 -4	39.62	2.274	72.7
2 2 2	49.11	1.855	27.0
4 2 -1	51.06	1.789	55.4

a b c (Å): 10.3385 5.1313 10.7255
angles (deg): 90.00 118.58 90.00
Space group C2/m (No. 12)
Inequivalent atoms, fractional coordinates:
Ti 0.0000 0.0000 0.0000
Ti 0.1071 0.5000 0.4654
Ti 0.1475 0.0000 0.6163
Ti 0.1938 0.0000 0.9196
Cd 0.0000 0.5000 0.0000
In 0.0951 0.0000 0.3178
In 0.1822 0.5000 0.7766



(6)
Calculated X-ray powder pattern
Compound: TlIn11Hg17
Radiation: Cu Kα X-rays
Structure: a DFT-relaxed cell (PBE, Alexandria)
Peak positions follow from Bragg's law for the DFT cell and can differ from measured ones.

Most intense lines, 10 to 90 degrees two-theta, low angle first:
index	2theta	d (Å)	I/Imax
0 1 -3	30.46	2.935	21.0
1 3 2	31.10	2.876	17.7
3 0 1	31.88	2.807	38.5
3 0 0	32.16	2.784	67.6
0 3 2	32.45	2.759	24.5
0 1 4	32.98	2.716	51.3
1 -2 2	33.41	2.682	100.0
-1 3 2	37.06	2.426	34.1
2 2 -2	37.18	2.418	26.5
2 4 6	56.62	1.626	18.3

a b c (Å): 8.7490 8.8483 11.1920
angles (deg): 71.58 76.51 75.40
Space group P1 (No. 1)
Inequivalent atoms, fractional coordinates:
Tl 0.0000 0.0000 0.0000
In 0.1753 0.3501 0.7142
In 0.2347 0.4781 0.1251
In 0.2686 0.0511 0.3465
In 0.4879 0.0710 0.7860
In 0.5526 0.8809 0.5608
In 0.5759 0.9094 0.0891
In 0.5801 0.4827 0.1842
In 0.5922 0.2673 0.4916
In 0.8380 0.2217 0.7270
In 0.9032 0.4375 0.9481
In 0.9103 0.7994 0.3504
Hg 0.1767 0.6553 0.8399
Hg 0.1986 0.6972 0.5266
Hg 0.2002 0.0091 0.6687
Hg 0.2556 0.7908 0.2013
Hg 0.2592 0.3760 0.4178
Hg 0.2648 0.1959 0.0100
Hg 0.4814 0.7041 0.9090
Hg 0.5020 0.4859 0.6979
Hg 0.5565 0.6654 0.3880
Hg 0.6030 0.2922 0.9732
Hg 0.6330 0.0905 0.2647
Hg 0.8211 0.8408 0.8366
Hg 0.8350 0.6148 0.6633
Hg 0.8836 0.6426 0.1410
Hg 0.9001 0.4241 0.4386
Hg 0.9123 0.0069 0.5333
Hg 0.9490 0.2180 0.2319



(7)
Calculated X-ray powder pattern
Compound: TmPu
Radiation: Cu Kα X-rays
Structure: a DFT-relaxed cell (PBE, Alexandria)
Peak positions follow from Bragg's law for the DFT cell and can differ from measured ones.

Most intense lines, 10 to 90 degrees two-theta, low angle first:
index	2theta	d (Å)	I/Imax
1 0 0	23.13	3.845	3.1
1 1 0	32.95	2.719	100.0
1 1 1	40.65	2.220	1.0
2 0 0	47.29	1.922	18.6
2 1 0	53.28	1.719	1.5
2 1 1	58.84	1.570	39.3
2 2 0	69.10	1.359	12.2
3 0 0	73.96	1.282	0.8
3 1 0	78.71	1.216	17.2
2 2 2	87.99	1.110	4.5

a b c (Å): 3.8446 3.8446 3.8446
angles (deg): 90.00 90.00 90.00
Space group Pm-3m (No. 221)
Inequivalent atoms, fractional coordinates:
Tm 0.0000 0.0000 0.0000
Pu 0.5000 0.5000 0.5000



(8)
Calculated X-ray powder pattern
Compound: Pa3MnSi
Radiation: Cu Kα X-rays
Structure: a DFT-relaxed cell (PBE, Alexandria)
Peak positions follow from Bragg's law for the DFT cell and can differ from measured ones.

Most intense lines, 10 to 90 degrees two-theta, low angle first:
index	2theta	d (Å)	I/Imax
1 0 1	18.72	4.740	33.6
0 0 2	25.05	3.554	27.7
1 2 1	27.21	3.277	28.3
0 2 2	31.99	2.798	97.3
2 2 0	34.44	2.604	100.0
2 0 2	37.97	2.370	90.0
0 4 0	39.73	2.269	44.6
2 3 1	43.20	2.094	17.5
2 4 2	56.12	1.639	54.6
4 2 2	67.80	1.382	24.4

a b c (Å): 6.3596 9.0743 7.1086
angles (deg): 90.00 90.00 90.00
Space group Imma (No. 74)
Inequivalent atoms, fractional coordinates:
Pa 0.0000 0.2500 0.0624
Pa 0.2500 0.0135 0.2500
Mn 0.2500 0.2500 0.7500
Si 0.0000 0.2500 0.4802